1.
Computed XRD peak list
Compound: RbMo3S3
Radiation: a wavelength of 1.5418 Å
Structure: a structure optimized by DFT (GGA-PBE)

Structure:
```
RbMo3S3
1.0
9.2347 0.0000 0.0000
-4.6173 7.9975 0.0000
0.0000 0.0000 4.4591
Rb Mo S
2 6 6
Direct
0.3333 0.6667 0.2500
0.6667 0.3333 0.7500
0.0285 0.1795 0.2500
0.1510 0.9715 0.2500
0.1795 0.1510 0.7500
0.8205 0.8490 0.2500
0.8490 0.0285 0.7500
0.9715 0.8205 0.7500
0.0550 0.3363 0.7500
0.2813 0.9450 0.7500
0.3363 0.2813 0.2500
0.6637 0.7187 0.7500
0.7187 0.0550 0.2500
0.9450 0.6637 0.2500
```

Main lines, by angle (2θ from 10° to 80°):
d/Å	two_theta	Rel. int.
7.997	11.06	100
4.617	19.22	8
3.023	29.55	16
2.502	35.89	30
2.230	40.46	12
2.218	40.68	7
2.148	42.07	7
2.050	44.18	20
1.986	45.68	15
1.697	54.05	12

2.
Computed XRD peak list
Compound: Rb2Mo9S11
Radiation: a wavelength of 1.5418 Å
Structure: a structure optimized by DFT (GGA-PBE)

Structure:
```
Rb2Mo9S11
1.0
4.7481 2.7413 12.0617
-4.7481 2.7413 12.0617
0.0000 -5.4826 12.0617
Rb Mo S
4 18 22
Direct
0.0513 0.0513 0.0513
0.4487 0.4487 0.4487
0.5513 0.5513 0.5513
0.9487 0.9487 0.9487
0.0292 0.3539 0.1779
0.0837 0.2500 0.4163
0.1461 0.4708 0.3221
0.1779 0.0292 0.3539
0.2500 0.4163 0.0837
0.3221 0.1461 0.4708
0.3539 0.1779 0.0292
0.4163 0.0837 0.2500
0.4708 0.3221 0.1461
0.5292 0.6779 0.8539
0.5837 0.9163 0.7500
0.6461 0.8221 0.9708
0.6779 0.8539 0.5292
0.7500 0.5837 0.9163
0.8221 0.9708 0.6461
0.8539 0.5292 0.6779
0.9163 0.7500 0.5837
0.9708 0.6461 0.8221
0.0180 0.2894 0.6170
0.0503 0.4497 0.7500
0.1170 0.7894 0.5180
0.1363 0.1363 0.1363
0.2106 0.4820 0.8830
0.2500 0.9497 0.5503
0.2894 0.6170 0.0180
0.3637 0.3637 0.3637
0.3830 0.9820 0.7106
0.4497 0.7500 0.0503
0.4820 0.8830 0.2106
0.5180 0.1170 0.7894
0.5503 0.2500 0.9497
0.6170 0.0180 0.2894
0.6363 0.6363 0.6363
0.7106 0.3830 0.9820
0.7500 0.0503 0.4497
0.7894 0.5180 0.1170
0.8637 0.8637 0.8637
0.8830 0.2106 0.4820
0.9497 0.5503 0.2500
0.9820 0.7106 0.3830
```

Main lines, by angle (2θ from 10° to 80°):
d/Å	two_theta	Rel. int.
7.487	11.82	100
6.085	14.56	16
4.748	18.69	16
3.963	22.43	15
3.063	29.15	21
2.664	33.64	18
2.262	39.85	13
2.181	41.41	16
2.087	43.36	14
2.044	44.31	41

3.
Computed XRD peak list
Compound: Rb2MoSe4
Radiation: a wavelength of 1.5418 Å
Structure: a structure optimized by DFT (GGA-PBE)

Structure:
```
Rb2MoSe4
1.0
10.2596 0.0000 0.0000
0.0000 7.4415 0.0000
0.0000 0.0000 13.2561
Rb Mo Se
8 4 16
Direct
0.0469 0.2500 0.1602
0.1548 0.7500 0.3853
0.3452 0.2500 0.8853
0.4531 0.7500 0.6602
0.5469 0.2500 0.3398
0.6548 0.7500 0.1147
0.8452 0.2500 0.6147
0.9531 0.7500 0.8398
0.2462 0.7500 0.0694
0.2538 0.2500 0.5694
0.7462 0.7500 0.4306
0.7538 0.2500 0.9306
0.0226 0.7500 0.1070
0.1552 0.5030 0.6391
0.1552 0.9970 0.6391
0.2180 0.2500 0.3955
0.2820 0.7500 0.8955
0.3448 0.0030 0.1391
0.3448 0.4970 0.1391
0.4774 0.2500 0.6070
0.5226 0.7500 0.3930
0.6552 0.5030 0.8609
0.6552 0.9970 0.8609
0.7180 0.2500 0.1045
0.7820 0.7500 0.6045
0.8448 0.0030 0.3609
0.8448 0.4970 0.3609
0.9774 0.2500 0.8930
```

Main lines, by angle (2θ from 10° to 80°):
d/Å	two_theta	Rel. int.
5.484	16.16	32
3.721	23.92	28
3.313	26.91	100
3.093	28.86	26
3.025	29.53	24
2.937	30.43	48
2.742	32.65	25
2.704	33.12	27
1.734	52.79	27
1.622	56.75	24

4.
Computed XRD peak list
Compound: ReMo3
Radiation: a wavelength of 1.5418 Å
Structure: a structure optimized by DFT (GGA-PBE)

Structure:
```
ReMo3
1.0
1.4068 0.8122 9.2408
-1.4068 0.8122 9.2408
0.0000 -1.6245 9.2408
Re Mo
1 3
Direct
0.0000 0.0000 0.0000
0.2521 0.2521 0.2521
0.5000 0.5000 0.5000
0.7479 0.7479 0.7479
```

Main lines, by angle (2θ from 10° to 80°):
d/Å	two_theta	Rel. int.
4.620	19.21	6
2.400	37.47	4
2.310	38.99	34
2.299	39.19	100
1.993	45.51	65
1.412	66.18	21
1.407	66.46	21
1.205	79.56	12
1.202	79.82	25
1.200	79.95	12

5.
Computed XRD peak list
Compound: Re3Mo
Radiation: a wavelength of 1.5418 Å
Structure: a structure optimized by DFT (GGA-PBE)

Structure:
```
Re3Mo
1.0
2.7841 0.0000 0.0000
-1.3920 2.4111 0.0000
0.0000 0.0000 9.1306
Re Mo
3 1
Direct
0.0000 0.0000 0.0000
0.6667 0.3333 0.2445
0.6667 0.3333 0.7555
0.0000 0.0000 0.5000
```

Main lines, by angle (2θ from 10° to 80°):
d/Å	two_theta	Rel. int.
4.565	19.44	3
2.411	37.29	25
2.331	38.62	3
2.283	39.48	27
2.132	42.40	100
1.890	48.15	3
1.658	55.43	16
1.392	67.26	17
1.287	73.61	19
1.206	79.51	3